Simulated X-ray diffraction stick pattern of SrCeNp4N8 for Cu Kα, from a DFT-relaxed cell (GGA-PBE, Alexandria).

Atomic structure:
```
SrCeNp4N8
1.0
3.441 1.987 5.673
-3.441 1.987 5.673
0.000 -3.973 5.673
Sr Ce Np N
1 1 4 8
Cartesian
0.000 0.000 0.000
0.000 0.000 6.569
0.000 -1.980 2.852
-1.715 0.990 2.852
1.715 0.990 2.852
0.000 0.000 10.531
-1.792 -1.035 9.661
0.000 0.000 3.986
0.000 -2.152 7.407
-1.863 1.076 7.407
1.792 -1.035 9.661
0.000 2.069 9.661
0.000 0.000 12.994
1.863 1.076 7.407
```

Top 10 peaks for 10° ≤ 2θ ≤ 80°, by angle:
15.6 deg, rel. 22
25.7 deg, rel. 29
30.2 deg, rel. 30
30.4 deg, rel. 100
31.8 deg, rel. 34
45.6 deg, rel. 13
48.3 deg, rel. 14
48.5 deg, rel. 30
52.9 deg, rel. 23
53.2 deg, rel. 24